Starting from a crystal structure in OQMD, relaxed with PBE, the powder X-ray diffraction pattern of Sc2GaCu was computed for Cu Kα.

The 6 most intense peaks (2θ from 5° to 70°), in order of falling intensity:
two_theta  d_spacing  I_rel  hkl
38.48  2.340  100  2 0 0
69.60  1.351  31  3 3 2
55.55  1.654  16  2 6 0
26.95  3.309  6  1 3 0
62.80  1.480  3  3 3 0
47.60  1.910  2  2 0 2

Atomic structure:
a = 4.680 Å, b = 14.041 Å, c = 6.615 Å
α = 90.00°, β = 90.00°, γ = 90.00°
Atoms (fractional coordinates):
Sc: 0.000 0.000 0.250
Sc: 0.000 0.000 0.750
Sc: 0.000 0.333 0.250
Sc: 0.000 0.333 0.750
Sc: 0.000 0.667 0.250
Sc: 0.000 0.667 0.750
Sc: 0.500 0.167 0.250
Sc: 0.500 0.167 0.750
Sc: 0.500 0.500 0.250
Sc: 0.500 0.500 0.750
Sc: 0.500 0.833 0.250
Sc: 0.500 0.833 0.750
Ga: 0.000 0.167 0.000
Ga: 0.000 0.500 0.000
Ga: 0.000 0.833 0.000
Ga: 0.500 0.000 0.500
Ga: 0.500 0.333 0.500
Ga: 0.500 0.667 0.500
Cu: 0.000 0.500 0.500
Cu: 0.001 0.167 0.500
Cu: 0.499 0.667 0.000
Cu: 0.500 0.000 0.000
Cu: 0.501 0.333 0.000
Cu: 0.999 0.833 0.500



Starting from a crystal structure in OQMD, relaxed with PBE, the powder X-ray diffraction pattern of GaCuSe2 was computed for Cu Kα.

The 6 most intense peaks (2θ from 5° to 70°), in order of falling intensity:
two_theta  d_spacing  I_rel  hkl
27.38  3.258  100  3 1 -1
45.54  1.992  48  4 2 0
45.31  2.001  25  2 2 -2
53.73  1.706  22  1 3 1
54.16  1.693  14  5 1 1
53.82  1.703  7  5 1 -3

Atomic structure:
a = 12.551 Å, b = 5.667 Å, c = 5.655 Å
α = 90.00°, β = 116.70°, γ = 90.00°
Atoms (fractional coordinates):
Ga: 0.126 0.000 0.374
Ga: 0.374 0.500 0.626
Ga: 0.626 0.500 0.374
Ga: 0.874 0.000 0.626
Cu: 0.124 0.500 0.872
Cu: 0.376 0.000 0.128
Cu: 0.624 0.000 0.872
Cu: 0.876 0.500 0.128
Se: 0.000 0.255 0.000
Se: 0.000 0.747 0.500
Se: 0.250 0.248 0.757
Se: 0.250 0.748 0.243
Se: 0.500 0.247 0.500
Se: 0.500 0.755 0.000
Se: 0.750 0.248 0.243
Se: 0.750 0.748 0.757



Starting from a crystal structure in OQMD, relaxed with PBE, the powder X-ray diffraction pattern of GaCuTeSe was computed for Cu Kα.

The 6 most intense peaks (2θ from 5° to 70°), in order of falling intensity:
two_theta  d_spacing  I_rel  hkl
26.29  3.390  100  0 2 1
26.18  3.404  51  2 0 0
26.40  3.376  49  2 0 -2
43.54  2.079  48  2 2 1
43.44  2.083  48  0 4 0
43.82  2.066  47  2 2 -3

Atomic structure:
a = 8.333 Å, b = 8.334 Å, c = 7.138 Å
α = 90.00°, β = 125.22°, γ = 90.00°
Atoms (fractional coordinates):
Ga: 0.000 0.114 0.000
Ga: 0.000 0.886 0.500
Ga: 0.500 0.386 0.500
Ga: 0.500 0.614 0.000
Cu: 0.476 0.137 0.000
Cu: 0.476 0.863 0.500
Cu: 0.976 0.363 0.500
Cu: 0.976 0.637 0.000
Te: 0.108 0.380 0.250
Te: 0.108 0.620 0.750
Te: 0.608 0.120 0.750
Te: 0.608 0.880 0.250
Se: 0.118 0.129 0.750
Se: 0.118 0.871 0.250
Se: 0.618 0.371 0.250
Se: 0.618 0.629 0.750